Diffraction record for LaCrSe2O. The powder XRD pattern is theoretical, not measured: it uses DFT lattice parameters and positions (GGA+U) and Cu Kα X-rays.

Most intense lines, 2θ from 10° to 90°, sorted by position:
2θ = 26.0°, d = 3.431 Å, intensity 36
2θ = 31.7°, d = 2.824 Å, intensity 41
2θ = 31.9°, d = 2.808 Å, intensity 64
2θ = 32.1°, d = 2.790 Å, intensity 55
2θ = 33.8°, d = 2.653 Å, intensity 100
2θ = 38.6°, d = 2.330 Å, intensity 27
2θ = 45.9°, d = 1.978 Å, intensity 31
2θ = 54.3°, d = 1.688 Å, intensity 27

Structural model:
```
LaCrSe2O
1.0
5.9129 -1.9783 0.0000
5.9129 1.9783 0.0000
-0.0180 0.0000 8.4721
La Cr Se O
2 2 4 2
direct
0.2274 0.2274 0.1910 La
0.7726 0.7726 0.8090 La
0.0000 0.0000 0.5000 Cr
0.5000 0.5000 0.0000 Cr
0.0458 0.0458 0.8014 Se
0.3597 0.3597 0.5277 Se
0.6403 0.6403 0.4723 Se
0.9542 0.9542 0.1986 Se
0.3324 0.3324 0.9416 O
0.6676 0.6676 0.0584 O
```